For B2C, a DFT-relaxed cell (GGA-PBE, Alexandria) gives the computed powder diffractogram in this record (CuKα).
No peak broadening, texture or thermal motion is included.

Largest 10 diffraction maxima, low angle first, 10 to 90 degrees two-theta:
- 2θ 12.70, intensity 35, hkl 0 0 2
- 2θ 19.10, intensity 23, hkl 0 0 3
- 2θ 39.59, intensity 100, hkl 0 1 3
- 2θ 44.49, intensity 80, hkl 1 0 3
- 2θ 68.04, intensity 54, hkl 1 1 6
- 2θ 70.73, intensity 13, hkl 0 1 9
- 2θ 72.37, intensity 13, hkl 0 2 0
- 2θ 74.17, intensity 6, hkl 1 0 9
- 2θ 85.76, intensity 9, hkl 2 0 0
- 2θ 89.07, intensity 18, hkl 1 2 3

Lattice parameters (Å, degrees): 2.266 2.611 13.937 90.00 90.00 90.00
Fractional positions:
B (0.250, 0.000, 0.051)
B (0.250, 0.000, 0.396)
B (0.250, 0.000, 0.706)
B (0.250, 0.500, 0.796)
B (0.750, 0.000, 0.294)
B (0.750, 0.000, 0.604)
B (0.750, 0.000, 0.949)
B (0.750, 0.500, 0.204)
C (0.250, 0.500, 0.118)
C (0.250, 0.500, 0.468)
C (0.750, 0.500, 0.532)
C (0.750, 0.500, 0.882)